Starting from DFT lattice parameters and positions (GGA+U), the powder X-ray diffraction pattern of V2CuHO6 was computed for Cu Kα, 1.54184 Å.
Kinematic intensities with the Lorentz-polarization factor, no thermal factor.

Structural model:
Cell: 10.906 10.511 5.724 Å, 90.00 108.00 90.00°
Space group C2/c (No. 15)
Asymmetric unit:
V 0.186 0.100 0.182 x8
Cu 0.000 0.298 0.750 x4
H 0.000 0.225 0.250 x4
O 0.070 0.220 0.120 x8
O 0.161 0.001 0.913 x8
O 0.165 0.338 0.734 x8

Largest 10 diffraction maxima, by intensity, 10° ≤ 2θ ≤ 90°:
- hkl 0 2 1, 23.53°, I = 100
- hkl 2 2 0, 24.11°, I = 41
- hkl 3 1 0, 27.15°, I = 31
- hkl 1 1 -1, 17.99°, I = 30
- hkl 0 0 2, 32.93°, I = 28
- hkl 3 1 -1, 27.29°, I = 22
- hkl 1 1 0, 11.99°, I = 15
- hkl 2 2 -1, 26.01°, I = 14
- hkl 5 3 -1, 49.32°, I = 13
- hkl 1 5 2, 57.76°, I = 10